For U2Al6Pd3Pt, a GGA-PBE-relaxed structure gives the theoretical powder diffraction line list in this record (Cu Kα, 1.54184 Å).
Peak positions follow from Bragg's law for the DFT cell and can differ from measured ones.

Cell and atoms:
Lattice parameters (Å, degrees): 4.235 5.378 9.303 90.00 90.00 90.00
Space group Pmm2 (No. 25)
Symmetry-distinct sites (fractional):
U 0.000 0.000 0.000
U 0.000 0.500 0.497
Al 0.500 0.000 0.499
Al 0.500 0.250 0.748
Al 0.500 0.251 0.249
Al 0.500 0.500 0.998
Pd 0.000 0.000 0.668
Pd 0.000 0.500 0.162
Pd 0.000 0.500 0.832
Pt 0.000 0.000 0.332

Most intense lines, 2θ from 10° to 90°, low angle first:
- 21.0 deg, rel. 52
- 28.5 deg, rel. 15
- 33.3 deg, rel. 64
- 39.7 deg, rel. 100
- 42.7 deg, rel. 17
- 55.2 deg, rel. 31
- 63.9 deg, rel. 25
- 76.2 deg, rel. 15